Starting from DFT lattice parameters and positions (GGA-PBE), the X-ray diffraction stick pattern of PrMgS3 was calculated for CuKα.
Peak positions follow from Bragg's law for the DFT cell and can differ from measured ones.

Largest 10 diffraction maxima, sorted by position, 10 to 90 degrees two-theta:
2θ (°)  I/Imax
15.4  31
15.5  46
17.9  19
25.3  68
25.4  48
29.9  100
36.2  39
40.6  41
44.8  81
71.2  19

Cell and atoms:
```
data_PrMgS3
_chemical_formula_sum 'Pr6 Mg6 S18'
_symmetry_space_group_name_H-M 'R -3'
_symmetry_Int_Tables_number 148
_symmetry_space_group_name_Hall '-R 3'
_cell_length_a 7.0028
_cell_length_b 7.0028
_cell_length_c 17.2814
_cell_angle_alpha 90.00
_cell_angle_beta 90.00
_cell_angle_gamma 120.00
loop_
_atom_site_label
_atom_site_fract_x
_atom_site_fract_y
_atom_site_fract_z
Pr1 0.0000 0.0000 0.1401
Mg1 0.0000 0.0000 0.3462
S1 0.0152 0.6334 0.9199
```

***

Starting from DFT lattice parameters and positions (GGA-PBE), the X-ray diffraction stick pattern of Er2MgNb2O8 was calculated for CuKα.
Peak positions follow from Bragg's law for the DFT cell and can differ from measured ones.

Largest 10 diffraction maxima, sorted by position, 10 to 90 degrees two-theta:
2θ (°)  I/Imax
22.5  100
27.5  91
28.5  81
33.3  45
33.6  78
34.7  28
47.7  28
48.4  45
49.7  42
59.7  27

Cell and atoms:
```
data_Er2MgNb2O8
_chemical_formula_sum 'Er2 Mg1 Nb2 O8'
_symmetry_space_group_name_H-M 'P 1 2 1'
_symmetry_Int_Tables_number 3
_symmetry_space_group_name_Hall 'P 2y'
_cell_length_a 5.1716
_cell_length_b 6.1525
_cell_length_c 5.3862
_cell_angle_alpha 90.00
_cell_angle_beta 92.80
_cell_angle_gamma 90.00
loop_
_atom_site_label
_atom_site_fract_x
_atom_site_fract_y
_atom_site_fract_z
Er1 0.0000 0.0000 0.0000
Er2 0.0000 0.2894 0.5000
Mg1 0.0000 0.5294 0.0000
Nb1 0.5000 0.5107 0.0000
Nb2 0.5000 0.7873 0.5000
O1 0.2237 0.2898 0.8598
O2 0.2458 0.9987 0.3568
O3 0.2557 0.7458 0.8339
O4 0.2656 0.5210 0.3116
```

***

Repeat the first record exactly.
Starting from DFT lattice parameters and positions (GGA-PBE), the X-ray diffraction stick pattern of PrMgS3 was calculated for CuKα.
Peak positions follow from Bragg's law for the DFT cell and can differ from measured ones.

Largest 10 diffraction maxima, sorted by position, 10 to 90 degrees two-theta:
2θ (°)  I/Imax
15.4  31
15.5  46
17.9  19
25.3  68
25.4  48
29.9  100
36.2  39
40.6  41
44.8  81
71.2  19

Cell and atoms:
```
data_PrMgS3
_chemical_formula_sum 'Pr6 Mg6 S18'
_symmetry_space_group_name_H-M 'R -3'
_symmetry_Int_Tables_number 148
_symmetry_space_group_name_Hall '-R 3'
_cell_length_a 7.0028
_cell_length_b 7.0028
_cell_length_c 17.2814
_cell_angle_alpha 90.00
_cell_angle_beta 90.00
_cell_angle_gamma 120.00
loop_
_atom_site_label
_atom_site_fract_x
_atom_site_fract_y
_atom_site_fract_z
Pr1 0.0000 0.0000 0.1401
Mg1 0.0000 0.0000 0.3462
S1 0.0152 0.6334 0.9199
```